Theoretical powder diffractogram
Compound: Lu2CuTe2S2O14
Radiation: Cu Ka
Structure: a cell relaxed with GGA-PBE
Peak positions follow from Bragg's law for the DFT cell and can differ from measured ones.

Atomic structure:
```
Lu2CuTe2S2O14
1.0
5.3651 0.0000 0.0000
-1.0969 8.1375 0.0000
-2.1237 -3.9032 6.9530
Lu Cu Te S O
2 1 2 2 14
direct
0.1743 0.2319 0.0328
0.8257 0.7681 0.9672
0.5000 0.5000 0.5000
0.1298 0.7610 0.6395
0.8702 0.2390 0.3605
0.4060 0.7292 0.2278
0.5940 0.2708 0.7722
0.1149 0.4318 0.3538
0.1217 0.9214 0.8872
0.1734 0.8096 0.2069
0.3069 0.5233 0.0909
0.3912 0.1801 0.8257
0.4474 0.6966 0.7289
0.4721 0.2314 0.5731
0.5279 0.7686 0.4269
0.5526 0.3034 0.2711
0.6088 0.8199 0.1743
0.6931 0.4767 0.9091
0.8266 0.1904 0.7931
0.8783 0.0786 0.1128
0.8851 0.5682 0.6462
```

The 12 most intense peaks (5 to 70 degrees two-theta), in order of falling intensity:
d 3.905, intensity 100.0, hkl 1 -1 1; d 6.951, intensity 89.0, hkl 0 1 -1; d 3.548, intensity 70.3, hkl 0 2 0; d 2.958, intensity 41.8, hkl 1 2 -2; d 3.484, intensity 38.0, hkl 1 0 -2; d 2.558, intensity 34.6, hkl 1 -3 1; d 2.700, intensity 31.1, hkl 1 1 1; d 2.819, intensity 29.1, hkl -1 1 2; d 3.570, intensity 28.9, hkl 1 1 -2; d 2.612, intensity 26.5, hkl 0 1 -3; d 2.589, intensity 21.5, hkl -2 1 1; d 1.953, intensity 20.5, hkl 2 -2 2